Entry 1:
The following is a computed powder XRD pattern of CoPd12Au3. It was derived from a crystal structure in Alexandria, relaxed with PBE, using Cu Ka.
Peak positions follow from Bragg's law for the DFT cell and can differ from measured ones.

Peak list (10 most intense, 5° ≤ 2θ ≤ 70°, in order of rising 2θ)
2theta	Rel. int.
5.6	4
22.4	4
28.1	2
31.9	3
36.2	3
39.3	100
45.7	33
45.8	15
66.6	11
66.7	20

```
CoPd12Au3
1.0
3.9725 0.0000 0.0000
0.0000 3.9725 0.0000
0.0000 0.0000 15.8418
Co Pd Au
1 12 3
direct
0.0000 0.0000 0.0000 Co
0.0000 0.5000 0.1163 Pd
0.0000 0.5000 0.3724 Pd
0.0000 0.5000 0.6276 Pd
0.0000 0.5000 0.8837 Pd
0.5000 0.0000 0.1163 Pd
0.5000 0.0000 0.3724 Pd
0.5000 0.0000 0.6276 Pd
0.5000 0.0000 0.8837 Pd
0.5000 0.5000 0.0000 Pd
0.5000 0.5000 0.2445 Pd
0.5000 0.5000 0.5000 Pd
0.5000 0.5000 0.7555 Pd
0.0000 0.0000 0.2447 Au
0.0000 0.0000 0.5000 Au
0.0000 0.0000 0.7553 Au
```

=====

Entry 2:
The following is a computed powder XRD pattern of Co2Pd7Au. It was derived from a crystal structure in Alexandria, relaxed with PBE, using Cu Ka.
Peak positions follow from Bragg's law for the DFT cell and can differ from measured ones.

Peak list (10 most intense, 5° ≤ 2θ ≤ 70°, in order of rising 2θ)
2theta	Rel. int.
14.2	65
24.7	24
25.7	58
32.8	50
36.1	65
38.4	83
43.3	55
44.1	84
44.4	100
59.2	46

```
Co2Pd7Au
1.0
3.6027 -6.1856 0.0000
3.6027 6.1856 0.0000
0.0000 0.0000 4.1811
Co Pd Au
2 7 1
direct
0.1955 0.8045 0.0000 Co
0.8045 0.1955 0.0000 Co
0.0000 0.0000 0.0000 Pd
0.1930 0.4286 0.0000 Pd
0.2819 0.7181 0.5000 Pd
0.4286 0.1930 0.0000 Pd
0.5714 0.8070 0.0000 Pd
0.7181 0.2819 0.5000 Pd
0.8070 0.5714 0.0000 Pd
0.5000 0.5000 0.5000 Au
```

=====

Entry 3:
The following is a computed powder XRD pattern of Pm8Co3Au2. It was derived from a crystal structure in Alexandria, relaxed with PBE, using Cu Ka.
Peak positions follow from Bragg's law for the DFT cell and can differ from measured ones.

Peak list (10 most intense, 5° ≤ 2θ ≤ 70°, in order of rising 2θ)
2theta	Rel. int.
14.3	25
27.0	17
31.0	50
31.3	100
32.9	18
42.2	35
44.8	15
45.0	20
47.1	33
55.6	19

```
Pm8Co3Au2
1.0
7.5979 0.0000 0.0000
0.0000 4.0327 0.0000
-3.0676 0.0000 12.4124
Pm Co Au
8 3 2
direct
0.0863 0.0000 0.3740 Pm
0.1479 0.5000 0.8782 Pm
0.3417 0.5000 0.6378 Pm
0.4127 0.0000 0.1200 Pm
0.5873 0.0000 0.8800 Pm
0.6583 0.5000 0.3622 Pm
0.8521 0.5000 0.1218 Pm
0.9137 0.0000 0.6260 Pm
0.0000 0.5000 0.5000 Co
0.2549 0.0000 0.7667 Co
0.7451 0.0000 0.2333 Co
0.2511 0.5000 0.2415 Au
0.7489 0.5000 0.7585 Au
```

=====

Entry 4:
The following is a computed powder XRD pattern of Pr5Co2Au. It was derived from a crystal structure in Alexandria, relaxed with PBE, using Cu Ka.
Peak positions follow from Bragg's law for the DFT cell and can differ from measured ones.

Peak list (10 most intense, 5° ≤ 2θ ≤ 70°, in order of rising 2θ)
2theta	Rel. int.
26.3	33
30.7	52
32.2	100
32.4	27
34.8	72
36.3	90
41.9	27
52.2	31
56.7	34
66.4	28

```
Pr5Co2Au
1.0
-3.9121 3.9121 6.8446
3.9121 -3.9121 6.8446
3.9121 3.9121 -6.8446
Pr Co Au
10 4 2
direct
0.0000 0.0000 0.0000 Pr
0.0293 0.5293 0.8277 Pr
0.2016 0.0293 0.5000 Pr
0.2984 0.7984 0.8277 Pr
0.4707 0.2984 0.5000 Pr
0.5000 0.5000 0.0000 Pr
0.5293 0.7016 0.5000 Pr
0.7016 0.2016 0.1723 Pr
0.7984 0.9707 0.5000 Pr
0.9707 0.4707 0.1723 Pr
0.1293 0.3707 0.5000 Co
0.3707 0.8707 0.2413 Co
0.6293 0.1293 0.7587 Co
0.8707 0.6293 0.5000 Co
0.2500 0.2500 0.0000 Au
0.7500 0.7500 0.0000 Au
```

=====

Entry 5:
The following is a computed powder XRD pattern of Pr4Co2Au. It was derived from a crystal structure in Alexandria, relaxed with PBE, using Cu Ka.
Peak positions follow from Bragg's law for the DFT cell and can differ from measured ones.

Peak list (10 most intense, 5° ≤ 2θ ≤ 70°, in order of rising 2θ)
2theta	Rel. int.
18.5	40
24.9	48
27.7	79
33.5	100
34.1	49
35.0	63
37.5	49
44.3	35
45.5	32
60.4	30

```
Pr4Co2Au
1.0
1.9931 -5.3490 0.0000
1.9931 5.3490 0.0000
0.0000 0.0000 19.1676
Pr Co Au
8 4 2
direct
0.0000 0.0000 0.0000 Pr
0.0000 0.0000 0.5000 Pr
0.2823 0.7177 0.6287 Pr
0.2823 0.7177 0.8713 Pr
0.4332 0.5668 0.2500 Pr
0.5668 0.4332 0.7500 Pr
0.7177 0.2823 0.1287 Pr
0.7177 0.2823 0.3713 Pr
0.2836 0.7164 0.0182 Co
0.2836 0.7164 0.4818 Co
0.7164 0.2836 0.5182 Co
0.7164 0.2836 0.9818 Co
0.1456 0.8544 0.2500 Au
0.8544 0.1456 0.7500 Au
```

=====

Entry 6:
The following is a computed powder XRD pattern of Co2Pt9Au. It was derived from a crystal structure in Alexandria, relaxed with PBE, using Cu Ka.
Peak positions follow from Bragg's law for the DFT cell and can differ from measured ones.

Peak list (10 most intense, 5° ≤ 2θ ≤ 70°, in order of rising 2θ)
2theta	Rel. int.
22.7	3
23.9	2
32.1	3
35.7	2
38.0	2
39.7	100
45.9	16
46.3	33
67.3	20
67.5	11

```
Co2Pt9Au
1.0
3.9241 0.0000 0.0000
0.0000 3.9241 0.0000
0.0000 0.0000 11.8527
Co Pt Au
2 9 1
direct
0.0000 0.0000 0.1657 Co
0.0000 0.0000 0.8343 Co
0.0000 0.5000 0.0000 Pt
0.0000 0.5000 0.3223 Pt
0.0000 0.5000 0.6777 Pt
0.5000 0.0000 0.0000 Pt
0.5000 0.0000 0.3223 Pt
0.5000 0.0000 0.6777 Pt
0.5000 0.5000 0.1611 Pt
0.5000 0.5000 0.5000 Pt
0.5000 0.5000 0.8389 Pt
0.0000 0.0000 0.5000 Au
```

=====

Entry 7:
The following is a computed powder XRD pattern of CoAuS2. It was derived from a crystal structure in Alexandria, relaxed with PBE, using Cu Ka.
Peak positions follow from Bragg's law for the DFT cell and can differ from measured ones.

Peak list (10 most intense, 5° ≤ 2θ ≤ 70°, in order of rising 2θ)
2theta	Rel. int.
13.3	63
15.9	31
26.6	37
26.8	26
27.0	57
28.9	29
32.7	21
35.1	100
35.3	43
49.8	22

```
CoAuS2
1.0
6.1727 -4.2450 0.0000
6.1727 4.2450 0.0000
-6.0230 0.0000 11.1697
Co Au S
8 8 16
direct
0.0557 0.2466 0.8993 Co
0.1479 0.6851 0.8394 Co
0.2466 0.0557 0.3993 Co
0.3149 0.8521 0.6606 Co
0.6851 0.1479 0.3394 Co
0.7534 0.9443 0.6007 Co
0.8521 0.3149 0.1606 Co
0.9443 0.7534 0.1007 Co
0.0578 0.5686 0.4029 Au
0.4314 0.9422 0.0971 Au
0.4401 0.4414 0.5736 Au
0.4414 0.4401 0.0736 Au
0.5586 0.5599 0.9264 Au
0.5599 0.5586 0.4264 Au
0.5686 0.0578 0.9029 Au
0.9422 0.4314 0.5971 Au
0.0171 0.8743 0.5502 S
0.1083 0.5571 0.9566 S
0.1257 0.9829 0.9498 S
0.1485 0.2485 0.2794 S
0.2108 0.7892 0.2500 S
0.2485 0.1485 0.7794 S
0.3465 0.6535 0.7500 S
0.4429 0.8917 0.5434 S
0.5571 0.1083 0.4566 S
0.6535 0.3465 0.2500 S
0.7515 0.8515 0.2206 S
0.7892 0.2108 0.7500 S
0.8515 0.7515 0.7206 S
0.8743 0.0171 0.0502 S
0.8917 0.4429 0.0434 S
0.9829 0.1257 0.4498 S
```

=====

Entry 8:
The following is a computed powder XRD pattern of ScCoAu. It was derived from a crystal structure in Alexandria, relaxed with PBE, using Cu Ka.
Peak positions follow from Bragg's law for the DFT cell and can differ from measured ones.

Peak list (10 most intense, 5° ≤ 2θ ≤ 70°, in order of rising 2θ)
2theta	Rel. int.
23.3	36
26.6	29
31.9	11
38.2	10
39.0	100
43.8	19
44.7	18
47.5	12
52.7	10
64.4	12

```
ScCoAu
1.0
4.0569 0.0000 0.0000
0.0000 11.4882 0.0000
0.0000 0.0000 4.1297
Sc Co Au
4 4 4
direct
0.0000 0.1132 0.2500 Sc
0.0000 0.8868 0.7500 Sc
0.5000 0.3868 0.7500 Sc
0.5000 0.6132 0.2500 Sc
0.0000 0.2485 0.7500 Co
0.0000 0.7515 0.2500 Co
0.5000 0.2515 0.2500 Co
0.5000 0.7485 0.7500 Co
0.0000 0.4073 0.2500 Au
0.0000 0.5927 0.7500 Au
0.5000 0.0927 0.7500 Au
0.5000 0.9073 0.2500 Au
```

=====

Entry 9:
The following is a computed powder XRD pattern of Co2AuSe. It was derived from a crystal structure in Alexandria, relaxed with PBE, using Cu Ka.
Peak positions follow from Bragg's law for the DFT cell and can differ from measured ones.

Peak list (10 most intense, 5° ≤ 2θ ≤ 70°, in order of rising 2θ)
2theta	Rel. int.
21.3	23
25.7	31
29.6	37
32.6	26
38.0	100
39.0	43
43.4	37
44.4	19
47.0	63
47.7	23

```
Co2AuSe
1.0
8.4190 0.0000 0.0000
0.0000 2.9063 0.0000
-0.7121 0.0000 5.0661
Co Au Se
4 2 2
direct
0.0000 0.0000 0.0000 Co
0.2344 0.5000 0.1680 Co
0.5000 0.5000 0.0000 Co
0.7344 0.0000 0.1680 Co
0.4875 0.0000 0.4469 Au
0.9875 0.5000 0.4469 Au
0.2682 0.0000 0.8195 Se
0.7682 0.5000 0.8195 Se
```

=====

Entry 10:
The following is a computed powder XRD pattern of CoSiAu. It was derived from a crystal structure in Alexandria, relaxed with PBE, using Cu Ka.
Peak positions follow from Bragg's law for the DFT cell and can differ from measured ones.

Peak list (9 most intense, 5° ≤ 2θ ≤ 70°, in order of rising 2θ)
2theta	Rel. int.
26.6	51
27.2	7
38.5	100
47.0	39
54.9	7
55.2	7
56.2	8
62.3	24
63.2	10

```
CoSiAu
1.0
3.8634 0.0000 0.0000
-1.9317 3.3458 0.0000
0.0000 0.0000 3.2756
Co Si Au
1 1 1
direct
0.0000 0.0000 0.0000 Co
0.6667 0.3333 0.0000 Si
0.3333 0.6667 0.5000 Au
```

=====

Entry 11:
The following is a computed powder XRD pattern of CoSi2Au2. It was derived from a crystal structure in Alexandria, relaxed with PBE, using Cu Ka.
Peak positions follow from Bragg's law for the DFT cell and can differ from measured ones.

Peak list (10 most intense, 5° ≤ 2θ ≤ 70°, in order of rising 2θ)
2theta	Rel. int.
20.2	39
29.9	47
36.3	100
39.4	13
41.0	24
42.7	32
47.7	24
51.6	21
60.7	23
65.9	12

```
CoSi2Au2
1.0
5.9859 0.0000 0.0000
0.0000 5.9859 0.0000
0.0000 0.0000 4.4004
Co Si Au
2 4 4
direct
0.0000 0.0000 0.0000 Co
0.5000 0.5000 0.0000 Co
0.1360 0.3640 0.0000 Si
0.3640 0.8640 0.0000 Si
0.6360 0.1360 0.0000 Si
0.8640 0.6360 0.0000 Si
0.2333 0.7333 0.5000 Au
0.2667 0.2333 0.5000 Au
0.7333 0.7667 0.5000 Au
0.7667 0.2667 0.5000 Au
```

=====

Entry 12:
The following is a computed powder XRD pattern of Sm8CoAu2. It was derived from a crystal structure in Alexandria, relaxed with PBE, using Cu Ka.
Peak positions follow from Bragg's law for the DFT cell and can differ from measured ones.

Peak list (10 most intense, 5° ≤ 2θ ≤ 70°, in order of rising 2θ)
2theta	Rel. int.
16.0	20
21.0	22
29.9	57
30.3	57
30.9	100
34.3	44
35.2	38
36.0	20
36.1	34
37.4	21

```
Sm8CoAu2
1.0
4.5452 -6.5580 0.0000
4.5452 6.5580 0.0000
-2.7409 0.0000 5.5343
Sm Co Au
8 1 2
direct
0.0000 0.0000 0.0000 Sm
0.0107 0.2671 0.5873 Sm
0.2316 0.5118 0.2522 Sm
0.2671 0.0107 0.5873 Sm
0.4730 0.7500 0.9026 Sm
0.5118 0.2316 0.2522 Sm
0.7321 0.7321 0.4281 Sm
0.7500 0.4730 0.9026 Sm
0.3979 0.3979 0.9643 Co
0.0524 0.6603 0.6894 Au
0.6603 0.0524 0.6894 Au
```

=====

Entry 13:
The following is a computed powder XRD pattern of Tb6Co2Au. It was derived from a crystal structure in Alexandria, relaxed with PBE, using Cu Ka.
Peak positions follow from Bragg's law for the DFT cell and can differ from measured ones.

Peak list (10 most intense, 5° ≤ 2θ ≤ 70°, in order of rising 2θ)
2theta	Rel. int.
28.8	15
29.3	16
30.4	36
32.4	100
34.8	92
35.2	32
35.7	16
36.6	16
38.8	21
60.7	28

```
Tb6Co2Au
1.0
-4.6378 4.8111 4.9167
4.6378 -4.8111 4.9167
4.6378 4.8111 -4.9167
Tb Co Au
12 4 2
direct
0.0386 0.2352 0.8034 Tb
0.1801 0.2817 0.4618 Tb
0.1801 0.7183 0.8983 Tb
0.3266 0.0155 0.6889 Tb
0.3266 0.6377 0.3111 Tb
0.4318 0.2352 0.1966 Tb
0.5682 0.7648 0.8034 Tb
0.6734 0.3623 0.6889 Tb
0.6734 0.9845 0.3111 Tb
0.8199 0.2817 0.1017 Tb
0.8199 0.7183 0.5382 Tb
0.9614 0.7648 0.1966 Tb
0.1143 0.6143 0.5000 Co
0.3439 0.0000 0.3439 Co
0.6561 0.0000 0.6561 Co
0.8857 0.3857 0.5000 Co
0.0000 0.0000 0.0000 Au
0.5000 0.5000 0.0000 Au
```